Structure and calculated PXRD pattern of ZnTe2MoO8 (a structure optimized by DFT (GGA+U); Cu Kα (λ = 1.5418 Å)).

Top 6 peaks for 2θ = 10–90°, sorted by position:
d/Å  Rel. int.  h k l
5.491  23  0 0 1
3.884  77  1 0 1
3.180  100  1 1 0
2.453  35  0 1 2
1.944  55  2 0 2
1.657  30  1 2 2

Structure:
a b c (Å): 6.359 6.359 5.479
angles (deg): 90.00 90.00 120.00
Fractional positions:
1 Zn 0.000 0.000 0.000
2 Te 0.333 0.667 0.708
3 Te 0.667 0.333 0.292
4 Mo 0.000 0.000 0.500
5 O 0.139 0.277 0.722
6 O 0.139 0.861 0.722
7 O 0.277 0.139 0.278
8 O 0.333 0.667 0.378
9 O 0.667 0.333 0.622
10 O 0.723 0.861 0.722
11 O 0.861 0.139 0.278
12 O 0.861 0.723 0.278